Theoretical XRD peak list of Nb2Ni3Ge for copper Kα, from a GGA-PBE-relaxed structure.
Peak positions follow from Bragg's law for the DFT cell and can differ from measured ones.

Atomic structure:
abc: 4.9139 4.9139 7.8012
angles: 90.00 90.00 120.00
Space group P6_3/mmc (No. 194)
Inequivalent atoms, fractional coordinates:
Nb 0.3333 0.6667 0.0609 [4 per cell]
Ni 0.1710 0.3420 0.7500 [6 per cell]
Ge 0.0000 0.0000 0.0000 [2 per cell]

Largest 6 diffraction maxima, low angle first, 2θ = 10–80°:
two_theta, I (rel.), (hkl)
36.57, 43.4, 1 1 0
40.66, 70.3, 1 0 3
43.53, 100.0, 1 1 2
44.12, 65.9, 2 0 1
68.61, 25.3, 2 1 3
75.57, 24.3, 2 0 5